Record 1
The following is a simulated powder diffractogram of ZnTc2O6. It was derived from a GGA-PBE-relaxed structure, using CuKα.
Intensities are scaled so that the largest is 1000.

```
data_ZnTc2O6
_space_group_name_H-M_alt 'P 1'
_space_group_IT_number 1
_space_group_name_Hall 'P 1'
_cell_length_a 8.6675
_cell_length_b 8.6675
_cell_length_c 4.4638
_cell_angle_alpha 90.00
_cell_angle_beta 90.00
_cell_angle_gamma 120.00
loop_
_atom_site_label
_atom_site_fract_x
_atom_site_fract_y
_atom_site_fract_z
Zn1 0.0000 0.0000 0.0000
Zn2 0.3333 0.6667 0.5014
Zn3 0.6667 0.3333 0.4986
Tc1 0.0000 0.3212 0.5000
Tc2 0.0000 0.6551 0.0000
Tc3 0.3212 0.0000 0.5000
Tc4 0.3449 0.3449 0.0000
Tc5 0.6551 0.0000 0.0000
Tc6 0.6788 0.6788 0.5000
O1 0.0960 0.5408 0.7486
O2 0.1157 0.8785 0.7567
O3 0.1215 0.2372 0.7567
O4 0.2097 0.7811 0.2557
O5 0.2189 0.4287 0.2557
O6 0.2372 0.1215 0.2433
O7 0.4287 0.2189 0.7443
O8 0.4448 0.9040 0.7486
O9 0.4592 0.5552 0.7486
O10 0.5408 0.0960 0.2514
O11 0.5552 0.4592 0.2514
O12 0.5713 0.7903 0.2557
O13 0.7628 0.8843 0.7567
O14 0.7811 0.2097 0.7443
O15 0.7903 0.5713 0.7443
O16 0.8785 0.1157 0.2433
O17 0.8843 0.7628 0.2433
O18 0.9040 0.4448 0.2514
```

Most intense lines, 10° ≤ 2θ ≤ 90°, sorted by position:
2θ 23.18, 3.837 Å, intensity 89
2θ 28.71, 3.109 Å, intensity 1000
2θ 31.13, 2.873 Å, intensity 110
2θ 35.89, 2.502 Å, intensity 435
2θ 46.59, 1.949 Å, intensity 249
2θ 55.14, 1.666 Å, intensity 483
2θ 60.18, 1.538 Å, intensity 222
2θ 64.51, 1.445 Å, intensity 172
2θ 66.43, 1.407 Å, intensity 86
2θ 89.89, 1.091 Å, intensity 104

---

Record 2
The following is a simulated powder diffractogram of NaAl4S7. It was derived from a GGA-PBE-relaxed structure, using CuKα.
Intensities are scaled so that the largest is 1000.

```
data_NaAl4S7
_space_group_name_H-M_alt 'P 1'
_space_group_IT_number 1
_space_group_name_Hall 'P 1'
_cell_length_a 15.1602
_cell_length_b 6.4131
_cell_length_c 6.0101
_cell_angle_alpha 90.00
_cell_angle_beta 90.00
_cell_angle_gamma 90.00
loop_
_atom_site_label
_atom_site_fract_x
_atom_site_fract_y
_atom_site_fract_z
Na1 0.0000 0.1725 0.0000
Na2 0.5000 0.8275 0.5000
Al1 0.1227 0.6699 0.4399
Al2 0.2497 0.1806 0.4182
Al3 0.2503 0.8194 0.9182
Al4 0.3773 0.3301 0.9399
Al5 0.6227 0.3301 0.9399
Al6 0.7503 0.1806 0.4182
Al7 0.7497 0.8194 0.9182
Al8 0.8773 0.6699 0.4399
S1 0.0000 0.8348 0.3162
S2 0.1199 0.6932 0.8126
S3 0.1247 0.3396 0.3174
S4 0.2468 0.8377 0.3042
S5 0.2532 0.1623 0.8042
S6 0.3753 0.6604 0.8174
S7 0.3801 0.3068 0.3126
S8 0.5000 0.1652 0.8162
S9 0.6199 0.3068 0.3126
S10 0.6247 0.6604 0.8174
S11 0.7468 0.1623 0.8042
S12 0.7532 0.8377 0.3042
S13 0.8753 0.3396 0.3174
S14 0.8801 0.6932 0.8126
```

Most intense lines, 10° ≤ 2θ ≤ 90°, sorted by position:
2θ 11.67, 7.580 Å, intensity 481
2θ 27.33, 3.263 Å, intensity 982
2θ 27.82, 3.207 Å, intensity 658
2θ 29.73, 3.005 Å, intensity 883
2θ 31.19, 2.868 Å, intensity 1000
2θ 31.63, 2.829 Å, intensity 443
2θ 48.00, 1.895 Å, intensity 434
2θ 48.92, 1.862 Å, intensity 761
2θ 53.69, 1.707 Å, intensity 545
2θ 58.30, 1.583 Å, intensity 403

---

Record 3
The following is a simulated powder diffractogram of Ge3Pb5O11. It was derived from a GGA-PBE-relaxed structure, using CuKα.
Intensities are scaled so that the largest is 1000.

```
data_Ge3Pb5O11
_space_group_name_H-M_alt 'P 1'
_space_group_IT_number 1
_space_group_name_Hall 'P 1'
_cell_length_a 10.4447
_cell_length_b 10.4447
_cell_length_c 10.9239
_cell_angle_alpha 90.00
_cell_angle_beta 90.00
_cell_angle_gamma 120.00
loop_
_atom_site_label
_atom_site_fract_x
_atom_site_fract_y
_atom_site_fract_z
Ge1 0.0082 0.6164 0.0000
Ge2 0.3836 0.3918 0.0000
Ge3 0.3877 0.0072 0.6613
Ge4 0.3934 0.0217 0.3593
Ge5 0.6082 0.9918 0.0000
Ge6 0.6195 0.6123 0.6613
Ge7 0.6283 0.6066 0.3593
Ge8 0.9783 0.3717 0.3593
Ge9 0.9928 0.3805 0.6613
Pb1 0.0042 0.7408 0.6898
Pb2 0.2592 0.2634 0.6898
Pb3 0.2634 0.0027 0.9808
Pb4 0.2773 0.2760 0.3208
Pb5 0.3333 0.6667 0.1863
Pb6 0.3333 0.6667 0.5061
Pb7 0.3333 0.6667 0.8312
Pb8 0.6667 0.3333 0.1639
Pb9 0.6667 0.3333 0.5027
Pb10 0.6667 0.3333 0.8417
Pb11 0.7240 0.0013 0.3208
Pb12 0.7366 0.9958 0.6898
Pb13 0.7392 0.7366 0.9808
Pb14 0.9973 0.2608 0.9808
Pb15 0.9987 0.7227 0.3208
O1 0.0696 0.7635 0.8908
O2 0.0883 0.5061 0.9618
O3 0.0885 0.7076 0.1394
O4 0.1680 0.4958 0.3456
O5 0.1870 0.4751 0.6686
O6 0.2364 0.3060 0.8908
O7 0.2881 0.8130 0.6686
O8 0.2924 0.3808 0.1394
O9 0.3170 0.0831 0.7694
O10 0.3166 0.0898 0.2521
O11 0.3278 0.8320 0.3456
O12 0.3569 0.0697 0.5127
O13 0.4178 0.9117 0.9618
O14 0.4856 0.2970 0.0017
O15 0.4939 0.5822 0.9618
O16 0.5042 0.6722 0.3456
O17 0.5095 0.4174 0.6772
O18 0.5249 0.7119 0.6686
O19 0.5342 0.4076 0.3516
O20 0.5826 0.0922 0.6772
O21 0.5924 0.1266 0.3516
O22 0.6192 0.9115 0.1394
O23 0.6940 0.9304 0.8908
O24 0.7030 0.1886 0.0017
O25 0.7129 0.6431 0.5127
O26 0.7660 0.6830 0.7694
O27 0.7732 0.6834 0.2521
O28 0.8114 0.5144 0.0017
O29 0.8734 0.4658 0.3516
O30 0.9078 0.4905 0.6772
O31 0.9102 0.2268 0.2521
O32 0.9169 0.2340 0.7694
O33 0.9303 0.2871 0.5127
```

Most intense lines, 10° ≤ 2θ ≤ 90°, sorted by position:
2θ 19.63, 4.523 Å, intensity 251
2θ 23.57, 3.775 Å, intensity 214
2θ 26.06, 3.419 Å, intensity 392
2θ 26.39, 3.378 Å, intensity 211
2θ 27.33, 3.263 Å, intensity 378
2θ 29.63, 3.015 Å, intensity 787
2θ 29.91, 2.987 Å, intensity 1000
2θ 30.85, 2.898 Å, intensity 367
2θ 42.61, 2.122 Å, intensity 356
2θ 47.32, 1.921 Å, intensity 265